Structure and calculated X-ray powder pattern of Sc4Ag3Ir (a cell relaxed with GGA-PBE; Cu Ka).
No peak broadening, texture or thermal motion is included.

Main lines, sorted by position (2θ = 5–70°):
13.743 Å, 2θ 6.43, intensity 23
3.436 Å, 2θ 25.93, intensity 16
3.359 Å, 2θ 26.54, intensity 30
2.402 Å, 2θ 37.44, intensity 100
2.375 Å, 2θ 37.88, intensity 50
1.376 Å, 2θ 68.13, intensity 32

Structure:
Cell: 3.3590 3.3590 13.7433 Å, 90.00 90.00 90.00°
Space group P4/mmm (No. 123)
One atom of each set of equivalent atoms:
Sc1 0.0000 0.0000 0.1110 x2
Sc2 0.0000 0.0000 0.3704 x2
Ag1 0.5000 0.5000 0.2439 x2
Ag2 0.5000 0.5000 0.5000 x1
Ir1 0.5000 0.5000 0.0000 x1

---

Structure and calculated X-ray powder pattern of LiC12 (a cell relaxed with GGA-PBE; Cu Ka).
No peak broadening, texture or thermal motion is included.

Main lines, sorted by position (2θ = 5–70°):
7.779 Å, 2θ 11.38, intensity 4
3.889 Å, 2θ 22.86, intensity 100
2.130 Å, 2θ 42.44, intensity 6
1.986 Å, 2θ 45.68, intensity 6
1.945 Å, 2θ 46.71, intensity 9
1.769 Å, 2θ 51.68, intensity 5

Structure:
Cell: 7.4480 4.3005 15.5574 Å, 90.00 90.00 90.00°
Space group Cmcm (No. 63)
One atom of each set of equivalent atoms:
Li1 0.0000 0.1667 0.2500 x4
C1 0.0000 0.1666 0.6279 x8
C2 0.0000 0.4999 0.1280 x8
C3 0.1666 0.0000 0.1280 x16
C4 0.1666 0.3333 0.1279 x16

---

Structure and calculated X-ray powder pattern of Y4PuN5 (a cell relaxed with GGA-PBE; Cu Ka).
No peak broadening, texture or thermal motion is included.

Main lines, sorted by position (2θ = 5–70°):
4.151 Å, 2θ 21.41, intensity 18
2.836 Å, 2θ 31.54, intensity 100
2.456 Å, 2θ 36.58, intensity 77
1.737 Å, 2θ 52.70, intensity 53
1.481 Å, 2θ 62.73, intensity 44
1.418 Å, 2θ 65.86, intensity 18

Structure:
Cell: 7.7692 7.7692 4.9106 Å, 90.00 90.00 90.00°
Space group I4/m (No. 87)
One atom of each set of equivalent atoms:
Y1 0.0998 0.6991 0.0000 x8
Pu1 0.0000 0.0000 0.5000 x2
N1 0.0000 0.0000 0.0000 x2
N2 0.0960 0.7069 0.5000 x8

---

Structure and calculated X-ray powder pattern of Pr2Nd2Ga3 (a cell relaxed with GGA-PBE; Cu Ka).
No peak broadening, texture or thermal motion is included.

Main lines, sorted by position (2θ = 5–70°):
2.718 Å, 2θ 32.96, intensity 100
2.694 Å, 2θ 33.26, intensity 42
2.615 Å, 2θ 34.30, intensity 46
2.607 Å, 2θ 34.40, intensity 46
2.577 Å, 2θ 34.81, intensity 42
1.904 Å, 2θ 47.77, intensity 25

Structure:
Cell: 3.8077 6.1042 8.4107 Å, 93.01 90.03 108.00°
Space group P-1 (No. 2)
One atom of each set of equivalent atoms:
Pr1 0.2012 0.4025 0.1654 x2
Nd1 0.0601 0.1157 0.6956 x2
Ga1 0.3274 0.6550 0.5416 x2
Ga2 0.5000 0.0000 0.0000 x1